For LiCuPO4, a GGA-PBE-relaxed structure gives the calculated X-ray powder pattern in this record (λ = 1.5418 Å (Cu Kα)).
Intensities are scaled so that the largest is 100.

Structural model:
a b c (Å): 5.951 6.314 9.432
angles (deg): 73.24 83.38 80.39
Fractional coordinates of all 28 atoms:
Li 0.069 0.320 0.208
Li 0.069 0.844 0.174
Li 0.931 0.156 0.826
Li 0.931 0.680 0.792
Cu 0.301 0.156 0.554
Cu 0.479 0.393 0.780
Cu 0.521 0.607 0.220
Cu 0.699 0.844 0.446
P 0.214 0.687 0.504
P 0.372 0.793 0.884
P 0.628 0.207 0.116
P 0.786 0.313 0.496
O 0.030 0.247 0.436
O 0.229 0.685 0.341
O 0.234 0.020 0.804
O 0.249 0.603 0.859
O 0.303 0.445 0.602
O 0.336 0.776 0.054
O 0.369 0.850 0.525
O 0.378 0.234 0.170
O 0.622 0.766 0.830
O 0.631 0.150 0.475
O 0.664 0.224 0.946
O 0.697 0.555 0.398
O 0.751 0.397 0.141
O 0.766 0.980 0.196
O 0.771 0.315 0.659
O 0.970 0.753 0.564

Most intense lines, 2θ from 5° to 70°, by angle:
| two_theta | I/Imax | hkl |
| --- | --- | --- |
| 9.8 | 100.0 | 0 0 1 |
| 15.1 | 97.6 | 1 0 0 |
| 18.7 | 31.9 | 1 0 -1 |
| 24.3 | 17.4 | 1 1 -1 |
| 27.9 | 30.4 | 0 1 -2 |
| 29.8 | 41.7 | 0 0 3 |
| 30.2 | 67.6 | 1 2 1 |
| 32.2 | 19.7 | 1 -1 2 |
| 32.5 | 19.6 | 1 0 3 |
| 32.8 | 18.4 | 2 0 -1 |
| 37.8 | 16.6 | 2 0 -2 |
| 59.2 | 21.6 | 1 -1 5 |